No. 1
Theoretical XRD peak list
Compound: CaCd2O
Radiation: CuKα
Structure: a cell relaxed with PBE

Unit cell a=6.4836 b=6.4836 c=6.4836 alpha=97.65 beta=97.65 gamma=137.20
Atoms (fractional coordinates):
Ca1 0.0000 0.0000 0.0000
Ca2 0.7500 0.2500 0.5000
Cd1 0.2100 0.6250 0.0850
Cd2 0.3750 0.4600 0.5850
Cd3 0.5400 0.1250 0.9150
Cd4 0.8750 0.7900 0.4150
O1 0.2500 0.7500 0.5000
O2 0.5000 0.5000 0.0000

Principal peaks in the range 2θ from 10° to 90°, in order of falling intensity:
2θ/deg, I/Imax
30.08, 100.0
40.98, 56.5
29.60, 47.7
42.70, 45.9
20.81, 45.7
36.86, 31.8
57.37, 26.3
33.19, 25.3
54.83, 22.1
47.96, 18.3

***

No. 2
Theoretical XRD peak list
Compound: CaCd5O6
Radiation: CuKα
Structure: a cell relaxed with PBE

Unit cell a=5.8659 b=5.8659 c=5.8648 alpha=99.59 beta=99.59 gamma=119.99
Atoms (fractional coordinates):
Ca1 0.0000 0.0000 0.0000
Cd1 0.1690 0.8310 0.5000
Cd2 0.3338 0.6662 0.0000
Cd3 0.5000 0.5000 0.5000
Cd4 0.6662 0.3338 0.0000
Cd5 0.8310 0.1690 0.5000
O1 0.0833 0.4174 0.2483
O2 0.2499 0.2499 0.7479
O3 0.4174 0.0833 0.2483
O4 0.5826 0.9167 0.7517
O5 0.7501 0.7501 0.2521
O6 0.9167 0.5826 0.7517

Principal peaks in the range 2θ from 10° to 90°, in order of falling intensity:
2θ/deg, I/Imax
32.38, 100.0
37.56, 96.0
54.16, 61.3
64.53, 41.3
67.78, 19.7
89.12, 13.6
80.16, 9.0
89.08, 4.6
18.26, 4.3
20.50, 2.8

***

No. 3
Theoretical XRD peak list
Compound: Ca3Cd3PO8
Radiation: CuKα
Structure: a cell relaxed with PBE

Unit cell a=6.6850 b=6.6850 c=6.6850 alpha=60.14 beta=60.14 gamma=60.14
Atoms (fractional coordinates):
Ca1 0.0000 0.5000 0.5000
Ca2 0.5000 0.0000 0.5000
Ca3 0.5000 0.5000 0.0000
Cd1 0.0000 0.0000 0.5000
Cd2 0.0000 0.5000 0.0000
Cd3 0.5000 0.0000 0.0000
P1 0.0000 0.0000 0.0000
O1 0.1888 0.1888 0.8082
O2 0.1888 0.8082 0.1888
O3 0.1918 0.8112 0.8112
O4 0.2544 0.2544 0.2544
O5 0.7456 0.7456 0.7456
O6 0.8082 0.1888 0.1888
O7 0.8112 0.1918 0.8112
O8 0.8112 0.8112 0.1918

Principal peaks in the range 2θ from 10° to 90°, in order of falling intensity:
2θ/deg, I/Imax
38.03, 100.0
32.78, 87.8
16.22, 62.1
65.38, 31.8
31.34, 31.5
54.82, 28.6
54.94, 27.9
18.75, 22.4
42.73, 17.3
26.64, 16.3

***

No. 4
Theoretical XRD peak list
Compound: CaCdPbO4
Radiation: CuKα
Structure: a cell relaxed with PBE

Unit cell a=6.8102 b=6.8102 c=6.8102 alpha=120.47 beta=120.23 gamma=89.39
Atoms (fractional coordinates):
Ca1 0.3868 0.1368 0.2500
Ca2 0.6132 0.8632 0.7500
Cd1 0.0000 0.0000 0.5000
Cd2 0.0000 0.5000 0.0000
Pb1 0.0000 0.5000 0.5000
Pb2 0.5000 0.5000 0.0000
O1 0.2090 0.7239 0.4852
O2 0.2482 0.2744 0.5262
O3 0.2482 0.7220 0.9738
O4 0.2613 0.2761 0.9852
O5 0.7387 0.7239 0.0148
O6 0.7518 0.2780 0.0262
O7 0.7518 0.7256 0.4738
O8 0.7910 0.2761 0.5148

Principal peaks in the range 2θ from 10° to 90°, in order of falling intensity:
2θ/deg, I/Imax
15.98, 100.0
30.92, 74.7
32.25, 57.8
30.69, 36.8
53.85, 34.6
37.55, 34.6
37.14, 17.6
49.45, 17.2
40.84, 14.4
56.73, 13.7

***

No. 5
Theoretical XRD peak list
Compound: CaCdPtO4
Radiation: CuKα
Structure: a cell relaxed with PBE

Unit cell a=6.5711 b=6.5711 c=6.5711 alpha=120.26 beta=119.29 gamma=90.39
Atoms (fractional coordinates):
Ca1 0.0000 0.0000 0.0000
Ca2 0.5000 0.0000 0.5000
Cd1 0.3501 0.6001 0.7500
Cd2 0.6499 0.3999 0.2500
Pt1 0.0000 0.0000 0.5000
Pt2 0.0000 0.5000 0.0000
O1 0.1923 0.7440 0.4483
O2 0.2043 0.2560 0.9483
O3 0.2213 0.2017 0.4805
O4 0.2213 0.7408 0.0195
O5 0.7787 0.2592 0.9805
O6 0.7787 0.7983 0.5195
O7 0.7957 0.7440 0.0517
O8 0.8077 0.2560 0.5517

Principal peaks in the range 2θ from 10° to 90°, in order of falling intensity:
2θ/deg, I/Imax
31.98, 100.0
16.42, 44.5
50.75, 28.8
26.85, 25.7
55.98, 24.4
27.14, 16.8
33.53, 16.6
31.72, 15.7
43.46, 12.9
48.13, 11.1

***

No. 6
Theoretical XRD peak list
Compound: Ca2CdRhO5
Radiation: CuKα
Structure: a cell relaxed with PBE

Unit cell a=6.5509 b=6.5509 c=6.5509 alpha=146.75 beta=127.39 gamma=63.67
Atoms (fractional coordinates):
Ca1 0.2149 0.2149 0.0000
Ca2 0.7851 0.7851 0.0000
Cd1 0.5000 0.0000 0.5000
Rh1 0.0000 0.5000 0.5000
O1 0.0000 0.0000 0.0000
O2 0.1156 0.3698 0.7457
O3 0.3759 0.6302 0.7457
O4 0.6241 0.3698 0.2543
O5 0.8844 0.6302 0.2543

Principal peaks in the range 2θ from 10° to 90°, in order of falling intensity:
2θ/deg, I/Imax
32.67, 100.0
15.92, 44.0
45.13, 31.0
30.80, 24.1
55.97, 20.6
32.17, 16.7
68.46, 15.6
34.86, 14.6
48.58, 14.4
57.67, 13.2

***

No. 7
Theoretical XRD peak list
Compound: CaCd4Tc4O12
Radiation: CuKα
Structure: a cell relaxed with PBE

Unit cell a=5.4614 b=5.5244 c=9.1965 alpha=80.64 beta=81.30 gamma=87.44
Atoms (fractional coordinates):
Ca1 0.0000 0.0000 0.0000
Cd1 0.1074 0.0442 0.5898
Cd2 0.3292 0.2674 0.1529
Cd3 0.5753 0.5469 0.6156
Cd4 0.6567 0.6067 0.1619
Tc1 0.0178 0.5049 0.8145
Tc2 0.1405 0.6075 0.3794
Tc3 0.5339 0.0004 0.8151
Tc4 0.6535 0.1103 0.3795
O1 0.0188 0.4118 0.0323
O2 0.2370 0.2150 0.7733
O3 0.3115 0.7306 0.7770
O4 0.3652 0.8826 0.3930
O5 0.3994 0.3637 0.4608
O6 0.4087 0.9465 0.0353
O7 0.6920 0.0130 0.5936
O8 0.7358 0.2787 0.8301
O9 0.7937 0.7669 0.8777
O10 0.8868 0.8580 0.2706
O11 0.9301 0.3372 0.3606
O12 0.9864 0.6067 0.5871

Principal peaks in the range 2θ from 10° to 90°, in order of falling intensity:
2θ/deg, I/Imax
33.65, 100.0
30.74, 95.3
30.96, 83.5
32.84, 69.1
33.23, 61.6
26.96, 46.9
47.93, 43.0
40.20, 29.6
45.71, 28.8
57.11, 24.6

***

No. 8
Theoretical XRD peak list
Compound: CaCd4Tc4O12
Radiation: CuKα
Structure: a cell relaxed with PBE

Unit cell a=5.3626 b=5.5680 c=10.1320 alpha=75.72 beta=85.69 gamma=89.38
Atoms (fractional coordinates):
Ca1 0.0000 0.0000 0.0000
Cd1 0.0627 0.5811 0.8080
Cd2 0.4121 0.3885 0.3836
Cd3 0.5397 0.7095 0.8898
Cd4 0.9681 0.8740 0.3900
Tc1 0.4463 0.7677 0.5843
Tc2 0.4767 0.9565 0.1744
Tc3 0.9066 0.2589 0.5968
Tc4 0.9549 0.4384 0.1914
O1 0.1609 0.5478 0.5406
O2 0.1681 0.7261 0.2140
O3 0.1891 0.0509 0.5333
O4 0.2529 0.2188 0.2147
O5 0.4233 0.0301 0.9834
O6 0.5551 0.8203 0.3792
O7 0.6599 0.4925 0.6167
O8 0.6770 0.9964 0.6164
O9 0.6978 0.6871 0.1264
O10 0.7648 0.1809 0.1453
O11 0.8266 0.3365 0.3811
O12 0.9869 0.1891 0.7784

Principal peaks in the range 2θ from 10° to 90°, in order of falling intensity:
2θ/deg, I/Imax
31.91, 100.0
32.17, 74.2
33.93, 63.6
31.43, 58.2
33.52, 57.1
33.03, 52.9
46.81, 33.7
47.46, 33.5
27.12, 31.8
27.86, 30.0

***

No. 9
Theoretical XRD peak list
Compound: Ca2Tl3CdO8
Radiation: CuKα
Structure: a cell relaxed with PBE

Unit cell a=6.8111 b=6.8111 c=6.8111 alpha=60.27 beta=60.27 gamma=60.27
Atoms (fractional coordinates):
Ca1 0.0000 0.0000 0.0000
Ca2 0.3797 0.3797 0.3797
Tl1 0.9997 0.9997 0.4968
Tl2 0.9997 0.4968 0.9997
Tl3 0.4968 0.9997 0.9997
Cd1 0.6169 0.6169 0.6169
O1 0.2164 0.7551 0.7551
O2 0.2411 0.2411 0.2411
O3 0.2429 0.2429 0.7835
O4 0.2429 0.7835 0.2429
O5 0.7551 0.2164 0.7551
O6 0.7551 0.7551 0.2164
O7 0.7552 0.7552 0.7552
O8 0.7835 0.2429 0.2429

Principal peaks in the range 2θ from 10° to 90°, in order of falling intensity:
2θ/deg, I/Imax
30.68, 100.0
15.95, 67.0
32.08, 36.0
37.26, 32.9
53.60, 25.0
53.84, 24.1
26.17, 21.8
49.01, 21.7
30.80, 19.4
49.13, 18.1

***

No. 10
Theoretical XRD peak list
Compound: CaTl4CdO8
Radiation: CuKα
Structure: a cell relaxed with PBE

Unit cell a=6.7999 b=6.7999 c=6.7999 alpha=60.47 beta=60.47 gamma=60.47
Atoms (fractional coordinates):
Ca1 0.0000 0.0000 0.0000
Tl1 0.1147 0.6243 0.6243
Tl2 0.2427 0.2427 0.2427
Tl3 0.6243 0.1147 0.6243
Tl4 0.6243 0.6243 0.1147
Cd1 0.6244 0.6244 0.6244
O1 0.3783 0.3783 0.3783
O2 0.3799 0.3799 0.8440
O3 0.3799 0.8440 0.3799
O4 0.4039 0.8657 0.8657
O5 0.8440 0.3799 0.3799
O6 0.8635 0.8635 0.8635
O7 0.8657 0.4039 0.8657
O8 0.8657 0.8657 0.4039

Principal peaks in the range 2θ from 10° to 90°, in order of falling intensity:
2θ/deg, I/Imax
30.67, 100.0
32.05, 36.6
30.87, 27.6
53.52, 26.2
53.94, 25.4
37.27, 23.7
16.02, 21.6
49.04, 17.7
26.21, 17.6
15.87, 16.3